Starting from the GGA+U geometry in Alexandria, the powder diffractogram of SrLa2Co3O9 was calculated for Cu Kα (weighted mean of Kα1 and Kα2).
Intensities are scaled so that the largest is 100.

Most intense lines, 10 to 80 degrees two-theta, sorted by position:
two_theta, intensity
32.40, 24
32.83, 100
32.99, 24
40.20, 10
40.69, 11
46.92, 33
47.32, 15
58.07, 21
58.84, 29
68.84, 17

Crystal structure
a = 5.455 Å, b = 5.455 Å, c = 13.464 Å
α = 90.78°, β = 90.78°, γ = 59.70°
Fractional positions:
Sr  0.003  0.003  0.250
Sr  0.997  0.997  0.750
La  0.330  0.330  0.917
La  0.335  0.335  0.415
La  0.665  0.665  0.585
La  0.670  0.670  0.083
Co  0.000  0.000  0.000
Co  0.000  0.000  0.500
Co  0.333  0.333  0.667
Co  0.335  0.335  0.168
Co  0.665  0.665  0.832
Co  0.667  0.667  0.333
O  0.021  0.516  0.262
O  0.148  0.645  0.071
O  0.154  0.154  0.097
O  0.188  0.188  0.561
O  0.192  0.683  0.590
O  0.317  0.808  0.410
O  0.355  0.852  0.929
O  0.480  0.480  0.771
O  0.484  0.979  0.738
O  0.516  0.021  0.262
O  0.520  0.520  0.229
O  0.645  0.148  0.071
O  0.683  0.192  0.590
O  0.808  0.317  0.410
O  0.812  0.812  0.439
O  0.846  0.846  0.903
O  0.852  0.355  0.929
O  0.979  0.484  0.738